Structure and simulated PXRD pattern of BaCaP (a cell relaxed with PBE; Cu Kα (weighted mean of Kα1 and Kα2)).
Peak positions follow from Bragg's law for the DFT cell and can differ from measured ones.

Largest 6 diffraction maxima, most intense first, 2θ from 10° to 90°:
2θ/deg	d [Å]	intensity	(hkl)
28.5	3.128	100	1 0 2
28.9	3.092	74	1 1 1
38.3	2.352	46	2 0 0
48.4	1.880	45	2 1 2
26.8	3.327	41	1 1 0
21.7	4.102	40	1 0 1

Structural model:
a b c (Å): 4.704 4.704 8.376
angles (deg): 90.00 90.00 90.00
Fractional coordinates of all 6 atoms:
Ba  0.250  0.250  0.132
Ba  0.750  0.750  0.868
Ca  0.250  0.750  0.500
Ca  0.750  0.250  0.500
P  0.250  0.250  0.718
P  0.750  0.750  0.282